For Na5Bi2PC4O16, the GGA-PBE geometry in the Materials Project gives the theoretical PXRD pattern in this record (Cu Kα (weighted mean of Kα1 and Kα2)).
Lines closer than 0.1° are merged.

Structure:
```
data_Na5Bi2PC4O16
_chemical_formula_sum 'Na20 Bi8 P4 C16 O64'
_cell_length_a 14.576
_cell_length_b 14.938
_cell_length_c 10.257
_cell_angle_alpha 90.00
_cell_angle_beta 134.48
_cell_angle_gamma 90.00
_symmetry_space_group_name_H-M 'C 1 2/c 1'
_symmetry_Int_Tables_number 15
_symmetry_space_group_name_Hall '-C 2yc'
loop_
_atom_site_label
_atom_site_type_symbol
_atom_site_fract_x
_atom_site_fract_y
_atom_site_fract_z
Na1 Na 0.000 0.066 0.250
Na2 Na 0.197 0.126 0.135
Na3 Na 0.197 0.126 0.759
Bi1 Bi 0.000 0.500 0.000
Bi2 Bi 0.250 0.250 0.500
P1 P 0.000 0.124 0.750
C1 C 0.001 0.279 0.059
C2 C 0.198 0.469 0.448
O1 O 0.001 0.062 0.626
O2 O 0.059 0.346 0.065
O3 O 0.069 0.215 0.183
O4 O 0.124 0.273 0.566
O5 O 0.125 0.181 0.875
O6 O 0.141 0.473 0.818
O7 O 0.192 0.474 0.569
O8 O 0.234 0.096 0.538
```

Largest 12 diffraction maxima, low angle first, 2θ from 15° to 90°:
h k l, Position (°2θ), I (rel.)
1 3 0, 19.79, 100
3 1 -1, 20.05, 67
3 1 -2, 20.20, 97
2 2 0, 20.82, 79
2 2 -2, 21.01, 62
0 4 0, 23.83, 34
0 0 2, 24.33, 38
4 0 -2, 24.43, 39
1 5 -1, 31.17, 49
5 1 -2, 31.81, 51
4 4 -2, 34.35, 100
2 6 0, 40.13, 34